Computed XRD peak list of CdH6C2O6 for Cu Kα (weighted mean of Kα1 and Kα2), from the GGA-PBE geometry in OQMD.

Main lines, sorted by position (2θ from 5° to 70°):
2theta  intensity
17.82  100
18.74  50
19.17  77
20.11  39
24.89  17
25.71  24
31.36  29
33.12  36
33.79  37
36.09  19
39.99  13
40.65  19

Cell and atoms:
abc: 8.9084 7.1534 9.5533
angles: 90.00 97.55 90.00
Fractional positions:
Cd 0.0000 0.0000 0.0000
Cd 0.0000 0.5000 0.5000
Cd 0.5000 0.0000 0.5000
Cd 0.5000 0.5000 0.0000
H 0.0407 0.1506 0.2819
H 0.0407 0.3494 0.7819
H 0.1767 0.0412 0.6226
H 0.1767 0.4588 0.1226
H 0.2040 0.0973 0.2364
H 0.2040 0.4027 0.7364
H 0.2635 0.6240 0.4450
H 0.2635 0.8760 0.9450
H 0.2976 0.0915 0.9740
H 0.2976 0.4085 0.4740
H 0.4420 0.7375 0.7385
H 0.4420 0.7625 0.2385
H 0.5580 0.2375 0.7615
H 0.5580 0.2625 0.2615
H 0.7024 0.5915 0.5260
H 0.7024 0.9085 0.0260
H 0.7365 0.1240 0.0550
H 0.7365 0.3760 0.5550
H 0.7960 0.5973 0.2636
H 0.7960 0.9027 0.7636
H 0.8233 0.5412 0.8774
H 0.8233 0.9588 0.3774
H 0.9593 0.6506 0.2181
H 0.9593 0.8494 0.7181
C 0.1701 0.6010 0.0766
C 0.1701 0.8990 0.5766
C 0.4569 0.1897 0.2082
C 0.4569 0.3103 0.7082
C 0.5431 0.6897 0.2918
C 0.5431 0.8103 0.7918
C 0.8299 0.1010 0.4234
C 0.8299 0.3990 0.9234
O 0.0542 0.6977 0.0910
O 0.0542 0.8023 0.5910
O 0.1009 0.1426 0.2002
O 0.1009 0.3574 0.7002
O 0.2334 0.0043 0.9102
O 0.2334 0.4957 0.4102
O 0.2786 0.6587 0.0130
O 0.2786 0.8413 0.5130
O 0.3934 0.0670 0.2763
O 0.3934 0.4330 0.7763
O 0.4079 0.2343 0.0822
O 0.4079 0.2657 0.5822
O 0.5921 0.7343 0.4178
O 0.5921 0.7657 0.9178
O 0.6066 0.5670 0.2237
O 0.6066 0.9330 0.7237
O 0.7214 0.1587 0.4870
O 0.7214 0.3413 0.9870
O 0.7666 0.5043 0.5898
O 0.7666 0.9957 0.0898
O 0.8991 0.6426 0.2998
O 0.8991 0.8574 0.7998
O 0.9458 0.1977 0.4090
O 0.9458 0.3023 0.9090